(1)
Starting from the GGA-PBE geometry in Alexandria, the powder diffractogram of LiSiC2 was computed for Cu Kα.
Kinematic intensities with the Lorentz-polarization factor, no thermal factor.

Peak list (10 most intense, 2θ = 10–90°, low angle first)
- hkl 1 0 0, 22.14 deg, rel. 1000
- hkl 1 0 1, 27.57 deg, rel. 329
- hkl 1 1 0, 31.51 deg, rel. 236
- hkl 1 0 2, 39.93 deg, rel. 132
- hkl 2 0 0, 45.16 deg, rel. 202
- hkl 1 1 2, 46.12 deg, rel. 478
- hkl 2 0 2, 56.92 deg, rel. 131
- hkl 2 1 2, 61.83 deg, rel. 224
- hkl 3 1 0, 74.76 deg, rel. 92
- hkl 2 2 2, 75.47 deg, rel. 115

Structure:
```
data_LiSiC2
_chemical_formula_sum 'Li2 Si2 C4'
_cell_length_a 4.0158
_cell_length_b 4.0158
_cell_length_c 5.4612
_cell_angle_alpha 90.00
_cell_angle_beta 90.00
_cell_angle_gamma 90.00
_symmetry_space_group_name_H-M 'P 42/m m c'
_symmetry_Int_Tables_number 131
_symmetry_space_group_name_Hall '-P 4c 2'
loop_
_atom_site_label
_atom_site_type_symbol
_atom_site_fract_x
_atom_site_fract_y
_atom_site_fract_z
_atom_site_occupancy
Li1 Li 0.0000 0.0000 0.2500 1
Si1 Si 0.5000 0.5000 0.2500 1
C1 C 0.1763 0.5000 0.0000 1
```



(2)
Starting from the GGA-PBE geometry in Alexandria, the powder diffractogram of Mn2Cu3Au4 was computed for Cu Kα.
Kinematic intensities with the Lorentz-polarization factor, no thermal factor.

Peak list (10 most intense, 2θ = 10–90°, low angle first)
- hkl 0 1 1, 20.98 deg, rel. 132
- hkl 0 1 2, 26.04 deg, rel. 163
- hkl 1 1 -1, 28.56 deg, rel. 116
- hkl 1 1 3, 39.55 deg, rel. 1000
- hkl 1 2 0, 39.65 deg, rel. 320
- hkl 2 1 0, 45.46 deg, rel. 228
- hkl 0 1 -3, 45.66 deg, rel. 245
- hkl 0 2 3, 46.91 deg, rel. 196
- hkl 2 3 3, 67.38 deg, rel. 132
- hkl 0 1 6, 67.54 deg, rel. 124

Structure:
```
data_Mn2Cu3Au4
_chemical_formula_sum 'Mn2 Cu3 Au4'
_cell_length_a 3.9904
_cell_length_b 4.7831
_cell_length_c 8.3249
_cell_angle_alpha 74.40
_cell_angle_beta 89.89
_cell_angle_gamma 65.51
_symmetry_space_group_name_H-M 'P -1'
_symmetry_Int_Tables_number 2
_symmetry_space_group_name_Hall '-P 1'
loop_
_atom_site_label
_atom_site_type_symbol
_atom_site_fract_x
_atom_site_fract_y
_atom_site_fract_z
_atom_site_occupancy
Mn1 Mn 0.1789 0.1427 0.2303 1
Cu1 Cu 0.1612 0.1759 0.5518 1
Cu2 Cu 0.5000 0.5000 0.0000 1
Au1 Au 0.1605 0.1790 0.8878 1
Au2 Au 0.4820 0.5363 0.6630 1
```



(3)
Starting from the GGA-PBE geometry in Alexandria, the powder diffractogram of MgZn was computed for Cu Kα.
Kinematic intensities with the Lorentz-polarization factor, no thermal factor.

Peak list (10 most intense, 2θ = 10–90°, low angle first)
- hkl 0 0 1, 19.13 deg, rel. 1000
- hkl 1 1 0, 20.54 deg, rel. 251
- hkl 1 1 -2, 38.01 deg, rel. 283
- hkl 0 0 2, 38.81 deg, rel. 365
- hkl 3 1 0, 39.33 deg, rel. 224
- hkl 2 2 -1, 40.26 deg, rel. 953
- hkl 2 2 0, 41.78 deg, rel. 659
- hkl 4 0 -2, 42.03 deg, rel. 325
- hkl 2 2 -2, 47.97 deg, rel. 263
- hkl 0 4 0, 72.07 deg, rel. 256

Structure:
```
data_MgZn
_chemical_formula_sum 'Mg6 Zn6'
_cell_length_a 9.0742
_cell_length_b 5.2447
_cell_length_c 5.5108
_cell_angle_alpha 90.00
_cell_angle_beta 122.65
_cell_angle_gamma 90.00
_symmetry_space_group_name_H-M 'C 1 2/m 1'
_symmetry_Int_Tables_number 12
_symmetry_space_group_name_Hall '-C 2y'
loop_
_atom_site_label
_atom_site_type_symbol
_atom_site_fract_x
_atom_site_fract_y
_atom_site_fract_z
_atom_site_occupancy
Mg1 Mg 0.0000 0.0000 0.0000 1
Mg2 Mg 0.1201 0.5000 0.8593 1
Zn1 Zn 0.0000 0.0000 0.5000 1
Zn2 Zn 0.2500 0.2500 0.5000 1
```



(4)
Starting from the GGA-PBE geometry in Alexandria, the powder diffractogram of Er7Sc5 was computed for Cu Kα.
Kinematic intensities with the Lorentz-polarization factor, no thermal factor.

Peak list (10 most intense, 2θ = 10–90°, low angle first)
- hkl 1 1 -2, 28.88 deg, rel. 356
- hkl 0 0 4, 31.51 deg, rel. 443
- hkl 2 0 3, 31.70 deg, rel. 296
- hkl 6 0 -2, 31.88 deg, rel. 583
- hkl 3 1 -3, 33.29 deg, rel. 995
- hkl 4 0 -5, 34.31 deg, rel. 338
- hkl 3 1 1, 34.71 deg, rel. 1000
- hkl 0 2 0, 52.11 deg, rel. 182
- hkl 1 1 -6, 52.42 deg, rel. 253
- hkl 7 1 -8, 63.39 deg, rel. 168

Structure:
```
data_Er7Sc5
_chemical_formula_sum 'Er14 Sc10'
_cell_length_a 16.9165
_cell_length_b 3.5105
_cell_length_c 13.1836
_cell_angle_alpha 90.00
_cell_angle_beta 120.55
_cell_angle_gamma 90.00
_symmetry_space_group_name_H-M 'C 1 m 1'
_symmetry_Int_Tables_number 8
_symmetry_space_group_name_Hall 'C -2y'
loop_
_atom_site_label
_atom_site_type_symbol
_atom_site_fract_x
_atom_site_fract_y
_atom_site_fract_z
_atom_site_occupancy
Er1 Er 0.0000 0.0000 0.0000 1
Er2 Er 0.0020 0.5000 0.4280 1
Er3 Er 0.0734 0.0000 0.6982 1
Er4 Er 0.1554 0.5000 0.9600 1
Er5 Er 0.2369 0.0000 0.2270 1
Er6 Er 0.3035 0.0000 0.9049 1
Er7 Er 0.4057 0.0000 0.7273 1
Sc1 Sc 0.0640 0.5000 0.2344 1
Sc2 Sc 0.1920 0.0000 0.4466 1
Sc3 Sc 0.2184 0.5000 0.6539 1
Sc4 Sc 0.3588 0.5000 0.4818 1
Sc5 Sc 0.3838 0.5000 0.1636 1
```